No. 1
Structure and calculated PXRD pattern of ZnAsAuO (a structure optimized by DFT (PBE); Cu Kα).
Neutral-atom scattering factors, no anomalous dispersion.

Peak list (10 most intense, 10 to 80 degrees two-theta, in order of rising 2θ)
Position (°2θ)	intensity
19.7	97
23.9	32
32.5	100
36.9	58
40.1	19
43.5	96
44.3	59
48.9	36
61.3	21
74.0	20

Structure:
Lattice parameters (Å, degrees): 4.0908 4.0908 8.9947 90.00 90.00 90.00
Space group P4/nmm (No. 129, origin choice 2)
Unique sites:
Zn1 0.2500 0.2500 0.0290
As1 0.2500 0.2500 0.3206
Au1 0.2500 0.7500 0.5000
O1 0.2500 0.7500 0.0000


No. 2
Structure and calculated PXRD pattern of Lu2Hf4Al3C3 (a structure optimized by DFT (PBE); Cu Kα).
Neutral-atom scattering factors, no anomalous dispersion.

Peak list (10 most intense, 10 to 80 degrees two-theta, in order of rising 2θ)
Position (°2θ)	intensity
12.2	63
24.5	21
31.1	32
31.7	52
36.3	100
36.4	48
37.1	27
55.3	29
65.1	11
68.3	12

Structure:
Lattice parameters (Å, degrees): 9.9708 5.7587 14.9294 90.00 103.18 90.00
Space group C2/c (No. 15)
Unique sites:
Lu1 0.0456 0.0816 0.3943
Hf1 0.1106 0.4102 0.5817
Hf2 0.2255 0.4190 0.9183
Al1 0.0000 0.4378 0.7500
Al2 0.2383 0.1531 0.7505
C1 0.0849 0.2546 0.0001
C2 0.2500 0.2500 0.5000